Starting from a structure optimized by DFT (GGA-PBE), the PXRD pattern of Gd2ReC2 was computed for a wavelength of 1.5418 Å.

Crystal structure
Cell: 6.617 5.180 9.952 Å, 90.00 90.00 90.00°
Space group Pnma (No. 62)
Asymmetric unit:
Gd 0.029 0.250 0.215
Gd 0.183 0.250 0.554
Re 0.224 0.250 0.864
C 0.041 0.750 0.241
C 0.180 0.750 0.547

Most intense lines, 2θ = 10–90°, by angle:
- 30.14 deg, d = 2.966 Å, I 18, (1 0 3)
- 32.06 deg, d = 2.792 Å, I 100, (0 1 3)
- 32.50 deg, d = 2.755 Å, I 25, (2 0 2)
- 33.37 deg, d = 2.685 Å, I 99, (2 1 1)
- 34.63 deg, d = 2.590 Å, I 68, (0 2 0)
- 34.86 deg, d = 2.574 Å, I 57, (1 1 3)

=====

Starting from a structure optimized by DFT (GGA-PBE), the PXRD pattern of HoErAg2Sb4 was computed for a wavelength of 1.5418 Å.

Crystal structure
Cell: 4.321 4.321 10.395 Å, 90.00 90.00 90.00°
Space group P4mm (No. 99)
Asymmetric unit:
Ho 0.000 0.000 0.000
Er 0.500 0.500 0.529
Ag 0.000 0.500 0.265
Sb 0.000 0.000 0.451
Sb 0.000 0.500 0.764
Sb 0.500 0.500 0.078

Most intense lines, 2θ = 10–90°, by angle:
- 26.83 deg, d = 3.323 Å, I 11, (1 0 2)
- 34.03 deg, d = 2.634 Å, I 100, (1 1 2)
- 34.51 deg, d = 2.599 Å, I 15, (0 0 4)
- 41.81 deg, d = 2.161 Å, I 33, (2 0 0)
- 55.29 deg, d = 1.661 Å, I 16, (2 0 4)
- 71.37 deg, d = 1.322 Å, I 23, (3 1 2)

=====

Starting from a structure optimized by DFT (GGA-PBE), the PXRD pattern of Hf5Al4 was computed for a wavelength of 1.5418 Å.

Crystal structure
Cell: 8.3357 8.3357 5.7669 Å, 90.00 90.00 120.00°
Space group P6_3/mcm (No. 193)
Asymmetric unit:
Hf 0.0000 0.2895 0.2500
Hf 0.3333 0.6667 0.0000
Al 0.0000 0.0000 0.0000
Al 0.0000 0.3727 0.7500

Most intense lines, 2θ = 10–90°, by angle:
- 26.38 deg, d = 3.378 Å, I 76, (1 1 1)
- 36.43 deg, d = 2.466 Å, I 30, (2 1 1)
- 37.37 deg, d = 2.406 Å, I 89, (3 0 0)
- 37.94 deg, d = 2.371 Å, I 100, (1 1 2)
- 54.31 deg, d = 1.689 Å, I 32, (2 2 2)
- 67.79 deg, d = 1.382 Å, I 23, (4 1 2)

=====

Please write out number 1 again, unchanged.
Starting from a structure optimized by DFT (GGA-PBE), the PXRD pattern of Gd2ReC2 was computed for a wavelength of 1.5418 Å.

Crystal structure
Cell: 6.617 5.180 9.952 Å, 90.00 90.00 90.00°
Space group Pnma (No. 62)
Asymmetric unit:
Gd 0.029 0.250 0.215
Gd 0.183 0.250 0.554
Re 0.224 0.250 0.864
C 0.041 0.750 0.241
C 0.180 0.750 0.547

Most intense lines, 2θ = 10–90°, by angle:
- 30.14 deg, d = 2.966 Å, I 18, (1 0 3)
- 32.06 deg, d = 2.792 Å, I 100, (0 1 3)
- 32.50 deg, d = 2.755 Å, I 25, (2 0 2)
- 33.37 deg, d = 2.685 Å, I 99, (2 1 1)
- 34.63 deg, d = 2.590 Å, I 68, (0 2 0)
- 34.86 deg, d = 2.574 Å, I 57, (1 1 3)

=====

- Which formula does entry 2 have?
  HoErAg2Sb4